Starting from a crystal structure in the Materials Project, relaxed with PBE, the X-ray powder pattern of Ba8SrB6N12 was computed for a wavelength of 1.5418 Å.

Cell and atoms:
```
data_Ba8SrB6N12
_space_group_name_H-M_alt 'P m -3 m'
_space_group_IT_number 221
_space_group_name_Hall '-P 4 2 3'
_cell_length_a 8.048
_cell_length_b 8.048
_cell_length_c 8.048
_cell_angle_alpha 90.00
_cell_angle_beta 90.00
_cell_angle_gamma 90.00
loop_
_atom_site_label
_atom_site_fract_x
_atom_site_fract_y
_atom_site_fract_z
Ba1 0.238 0.238 0.238
Sr1 0.500 0.500 0.500
B1 0.000 0.000 0.500
B2 0.000 0.500 0.500
N1 0.000 0.000 0.332
N2 0.169 0.500 0.500
```

Largest 12 diffraction maxima, in order of falling intensity, 10° ≤ 2θ ≤ 90°:
(hkl), 2θ (°), d [Å], intensity
2 2 0, 31.44, 2.845, 1000
2 0 0, 22.09, 4.024, 575
4 2 2, 55.98, 1.643, 307
4 2 0, 50.73, 1.800, 281
2 2 2, 38.76, 2.323, 256
4 0 0, 45.06, 2.012, 196
6 2 0, 74.58, 1.272, 153
4 4 2, 70.17, 1.341, 129
4 4 0, 65.62, 1.423, 104
2 1 0, 24.74, 3.599, 76
6 2 2, 78.90, 1.213, 67
5 2 0, 62.11, 1.494, 53


Starting from a crystal structure in the Materials Project, relaxed with PBE, the X-ray powder pattern of NiB was computed for a wavelength of 1.5418 Å.

Cell and atoms:
```
data_NiB
_space_group_name_H-M_alt 'C m c m'
_space_group_IT_number 63
_space_group_name_Hall '-C 2c 2'
_cell_length_a 2.950
_cell_length_b 7.349
_cell_length_c 2.972
_cell_angle_alpha 90.00
_cell_angle_beta 90.00
_cell_angle_gamma 90.00
loop_
_atom_site_label
_atom_site_fract_x
_atom_site_fract_y
_atom_site_fract_z
Ni1 0.000 0.147 0.250
B1 0.000 0.433 0.250
```

Largest 12 diffraction maxima, in order of falling intensity, 10° ≤ 2θ ≤ 90°:
(hkl), 2θ (°), d [Å], intensity
1 1 1, 45.02, 2.013, 1000
0 2 1, 38.98, 2.311, 827
1 3 0, 48.29, 1.885, 527
1 1 0, 32.71, 2.738, 420
2 2 1, 76.65, 1.243, 199
1 3 2, 82.71, 1.167, 194
0 4 0, 49.62, 1.837, 193
1 5 1, 79.71, 1.203, 186
0 0 2, 62.51, 1.486, 149
2 0 0, 63.03, 1.475, 145
1 3 1, 57.94, 1.592, 134
0 4 1, 59.12, 1.563, 117


Starting from a crystal structure in the Materials Project, relaxed with PBE, the X-ray powder pattern of Ba2LiTmCu3O7 was computed for a wavelength of 1.5418 Å.

Cell and atoms:
```
data_Ba2LiTmCu3O7
_space_group_name_H-M_alt 'P m m 2'
_space_group_IT_number 25
_cell_length_a 3.768
_cell_length_b 4.038
_cell_length_c 12.849
_cell_angle_alpha 90.00
_cell_angle_beta 90.00
_cell_angle_gamma 90.00
loop_
_space_group_symop_operation_xyz
'x,y,z'
'-x,-y,z'
'-x,y,z'
'x,-y,z'
loop_
_atom_site_label
_atom_site_fract_x
_atom_site_fract_y
_atom_site_fract_z
Ba1 0.000 0.000 0.000
Ba2 0.000 0.000 0.312
Li1 0.000 0.500 0.466
Tm1 0.000 0.000 0.713
Cu1 0.500 0.500 0.177
Cu2 0.500 0.500 0.604
Cu3 0.500 0.500 0.843
O1 0.000 0.500 0.608
O2 0.000 0.500 0.819
O3 0.500 0.000 0.175
O4 0.500 0.000 0.607
O5 0.500 0.000 0.827
O6 0.500 0.500 0.032
O7 0.500 0.500 0.344
```

Largest 12 diffraction maxima, in order of falling intensity, 10° ≤ 2θ ≤ 90°:
(hkl), 2θ (°), d [Å], intensity
1 1 0, 32.50, 2.755, 1000
1 0 3, 31.63, 2.829, 735
0 1 3, 30.43, 2.938, 710
0 0 2, 13.78, 6.425, 370
1 1 3, 38.87, 2.317, 364
0 2 0, 44.90, 2.019, 335
1 0 4, 36.77, 2.445, 289
1 2 3, 55.96, 1.643, 287
0 1 4, 35.72, 2.514, 281
2 0 0, 48.31, 1.884, 267
0 0 3, 20.74, 4.283, 266
2 1 3, 58.17, 1.586, 235


Starting from a crystal structure in the Materials Project, relaxed with PBE, the X-ray powder pattern of HfMg14TiO16 was computed for a wavelength of 1.5418 Å.

Cell and atoms:
```
data_HfMg14TiO16
_space_group_name_H-M_alt 'P 4/m m m'
_space_group_IT_number 123
_space_group_name_Hall '-P 4 2'
_cell_length_a 8.662
_cell_length_b 8.662
_cell_length_c 4.306
_cell_angle_alpha 90.00
_cell_angle_beta 90.00
_cell_angle_gamma 90.00
loop_
_atom_site_label
_atom_site_fract_x
_atom_site_fract_y
_atom_site_fract_z
Hf1 0.000 0.000 0.000
Mg1 0.000 0.257 0.500
Mg2 0.000 0.500 0.000
Mg3 0.250 0.500 0.500
Mg4 0.256 0.256 0.000
Ti1 0.500 0.500 0.000
O1 0.000 0.000 0.500
O2 0.000 0.253 0.000
O3 0.000 0.500 0.500
O4 0.239 0.500 0.000
O5 0.250 0.250 0.500
O6 0.500 0.500 0.500
```

Largest 12 diffraction maxima, in order of falling intensity, 10° ≤ 2θ ≤ 90°:
(hkl), 2θ (°), d [Å], intensity
4 0 0, 41.71, 2.166, 1000
1 0 0, 10.21, 8.662, 591
4 0 2, 60.66, 1.527, 580
1 1 0, 14.46, 6.125, 514
0 0 2, 41.97, 2.153, 494
2 2 1, 35.99, 2.496, 444
2 2 0, 29.22, 3.056, 337
1 1 1, 25.28, 3.522, 316
3 0 0, 31.04, 2.881, 301
4 4 0, 60.46, 1.531, 291
2 0 0, 20.51, 4.331, 269
4 4 2, 76.31, 1.248, 268


Starting from a crystal structure in the Materials Project, relaxed with PBE, the X-ray powder pattern of KInSe2 was computed for a wavelength of 1.5418 Å.

Cell and atoms:
```
data_KInSe2
_space_group_name_H-M_alt 'C 1 2/c 1'
_space_group_IT_number 15
_cell_length_a 11.679
_cell_length_b 11.672
_cell_length_c 15.959
_cell_angle_alpha 90.00
_cell_angle_beta 100.53
_cell_angle_gamma 90.00
loop_
_space_group_symop_operation_xyz
'x,y,z'
'-x,-y,-z'
'-x,y,-z+1/2'
'x,-y,z+1/2'
'x+1/2,y+1/2,z'
'-x+1/2,-y+1/2,-z'
'-x+1/2,y+1/2,-z+1/2'
'x+1/2,-y+1/2,z+1/2'
loop_
_atom_site_label
_atom_site_fract_x
_atom_site_fract_y
_atom_site_fract_z
K1 0.033 0.187 0.386
K2 0.218 0.438 0.119
In1 0.101 0.188 0.656
In2 0.148 0.437 0.844
Se1 0.000 0.050 0.750
Se2 0.000 0.424 0.250
Se3 0.049 0.313 0.947
Se4 0.201 0.062 0.554
Se5 0.237 0.188 0.250
```

Largest 12 diffraction maxima, in order of falling intensity, 10° ≤ 2θ ≤ 90°:
(hkl), 2θ (°), d [Å], intensity
2 2 -4, 29.41, 3.037, 1000
2 2 -2, 23.16, 3.840, 909
4 0 -6, 42.29, 2.137, 728
4 4 -1, 43.87, 2.064, 498
2 6 3, 53.70, 1.707, 336
1 1 -2, 14.59, 6.073, 271
1 1 1, 12.83, 6.898, 259
3 1 -4, 30.48, 2.933, 256
0 0 2, 11.28, 7.845, 242
3 1 2, 28.80, 3.100, 232
2 6 1, 50.18, 1.818, 211
8 4 -7, 79.53, 1.205, 211


Starting from a crystal structure in the Materials Project, relaxed with PBE, the X-ray powder pattern of Y2O3 was computed for a wavelength of 1.5418 Å.

Cell and atoms:
```
data_Y2O3
_space_group_name_H-M_alt 'P b c a'
_space_group_IT_number 61
_cell_length_a 5.824
_cell_length_b 5.993
_cell_length_c 16.841
_cell_angle_alpha 90.00
_cell_angle_beta 90.00
_cell_angle_gamma 90.00
loop_
_space_group_symop_operation_xyz
'x,y,z'
'-x,-y,-z'
'-x+1/2,-y,z+1/2'
'x+1/2,y,-z+1/2'
'x+1/2,-y+1/2,-z'
'-x+1/2,y+1/2,z'
'-x,y+1/2,-z+1/2'
'x,-y+1/2,z+1/2'
loop_
_atom_site_label
_atom_site_fract_x
_atom_site_fract_y
_atom_site_fract_z
Y1 0.000 0.211 0.070
Y2 0.003 0.235 0.818
O1 0.143 0.131 0.200
O2 0.144 0.654 0.553
O3 0.207 0.513 0.875
```

Largest 12 diffraction maxima, in order of falling intensity, 10° ≤ 2θ ≤ 90°:
(hkl), 2θ (°), d [Å], intensity
1 1 4, 30.14, 2.965, 1000
0 2 8, 53.14, 1.723, 316
3 1 4, 54.24, 1.691, 272
0 2 0, 29.81, 2.997, 257
2 0 0, 30.70, 2.912, 235
2 2 0, 43.33, 2.088, 232
2 0 8, 53.73, 1.706, 122
0 0 8, 42.96, 2.105, 120
1 3 1, 48.45, 1.879, 107
2 2 8, 62.66, 1.483, 99
1 1 12, 70.84, 1.330, 80
2 4 8, 86.39, 1.126, 72


Starting from a crystal structure in the Materials Project, relaxed with PBE, the X-ray powder pattern of Ru3C9Se2O9 was computed for a wavelength of 1.5418 Å.

Cell and atoms:
```
data_Ru3C9Se2O9
_space_group_name_H-M_alt 'P -1'
_space_group_IT_number 2
_cell_length_a 7.050
_cell_length_b 9.806
_cell_length_c 13.890
_cell_angle_alpha 82.65
_cell_angle_beta 85.03
_cell_angle_gamma 69.05
loop_
_space_group_symop_operation_xyz
'x,y,z'
'-x,-y,-z'
loop_
_atom_site_label
_atom_site_fract_x
_atom_site_fract_y
_atom_site_fract_z
Ru1 0.084 0.196 0.157
Ru2 0.159 0.267 0.343
Ru3 0.213 0.899 0.255
C1 0.018 0.811 0.235
C2 0.073 0.569 0.621
C3 0.134 0.374 0.115
C4 0.188 0.727 0.886
C5 0.190 0.092 0.046
C6 0.240 0.189 0.470
C7 0.295 0.789 0.375
C8 0.331 0.384 0.320
C9 0.419 0.770 0.175
Se1 0.056 0.883 0.679
Se2 0.412 0.070 0.249
O1 0.098 0.245 0.776
O2 0.164 0.481 0.085
O3 0.209 0.470 0.597
O4 0.256 0.034 0.976
O5 0.288 0.136 0.548
O6 0.339 0.725 0.451
O7 0.353 0.681 0.912
O8 0.437 0.452 0.307
O9 0.456 0.308 0.873
```

Largest 12 diffraction maxima, in order of falling intensity, 10° ≤ 2θ ≤ 90°:
(hkl), 2θ (°), d [Å], intensity
0 0 2, 12.86, 6.881, 1000
1 0 1, 14.67, 6.039, 589
1 0 -1, 15.18, 5.835, 507
1 1 -1, 15.70, 5.645, 463
1 1 1, 14.31, 6.189, 423
0 1 -1, 12.20, 7.255, 418
0 1 1, 11.08, 7.988, 398
1 0 0, 13.46, 6.577, 334
0 1 -4, 28.69, 3.112, 282
-1 2 5, 41.89, 2.157, 260
0 1 -2, 16.94, 5.234, 260
-1 2 2, 29.79, 2.999, 256


Starting from a crystal structure in the Materials Project, relaxed with PBE, the X-ray powder pattern of ErGe2Ru2 was computed for a wavelength of 1.5418 Å.

Cell and atoms:
```
data_ErGe2Ru2
_space_group_name_H-M_alt 'I 4/m m m'
_space_group_IT_number 139
_space_group_name_Hall '-I 4 2'
_cell_length_a 4.259
_cell_length_b 4.259
_cell_length_c 9.833
_cell_angle_alpha 90.00
_cell_angle_beta 90.00
_cell_angle_gamma 90.00
loop_
_atom_site_label
_atom_site_fract_x
_atom_site_fract_y
_atom_site_fract_z
Er1 0.000 0.000 0.000
Ge1 0.000 0.000 0.371
Ru1 0.000 0.500 0.250
```

Largest 12 diffraction maxima, in order of falling intensity, 10° ≤ 2θ ≤ 90°:
(hkl), 2θ (°), d [Å], intensity
1 1 2, 34.94, 2.568, 1000
1 0 3, 34.53, 2.598, 613
2 0 0, 42.45, 2.130, 599
2 1 3, 55.83, 1.647, 308
3 1 2, 72.81, 1.299, 231
2 2 0, 61.59, 1.506, 196
1 1 6, 64.76, 1.439, 196
1 0 5, 51.16, 1.785, 168
2 1 5, 68.59, 1.368, 139
1 1 4, 47.76, 1.904, 111
2 0 4, 57.24, 1.610, 89
3 2 3, 87.85, 1.111, 87